No. 1
Calculated powder diffractogram
Compound: Er2PuCuS5
Radiation: Cu Kα (λ = 1.5418 Å)
Structure: a cell relaxed with PBE

```
Er2PuCuS5
1.0
1.890 -8.908 0.000
1.890 8.908 0.000
0.000 0.000 11.001
Er Pu Cu S
4 2 2 10
Cartesian
1.890 7.270 5.501
1.890 6.903 1.367
1.890 -6.903 6.868
1.890 -7.270 0.000
1.890 5.350 9.077
1.890 -5.350 3.576
1.890 1.126 2.967
1.890 -1.126 8.468
1.890 8.035 9.690
1.890 3.553 5.564
1.890 3.054 1.654
1.890 2.472 9.034
1.890 0.076 6.564
1.890 -0.076 1.063
1.890 -2.472 3.533
1.890 -3.054 7.155
1.890 -3.553 0.064
1.890 -8.035 4.189
```

Top 10 peaks for 2θ from 15° to 90°, sorted by position:
18.96 deg, intensity 37; 21.52 deg, intensity 35; 24.06 deg, intensity 26; 26.28 deg, intensity 64; 29.14 deg, intensity 64; 31.20 deg, intensity 49; 34.44 deg, intensity 98; 38.38 deg, intensity 100; 48.13 deg, intensity 28; 50.39 deg, intensity 24

***

No. 2
Calculated powder diffractogram
Compound: Rb2ErCu2S4
Radiation: Cu Kα (λ = 1.5418 Å)
Structure: a cell relaxed with PBE

```
Rb2ErCu2S4
1.0
7.297 -1.954 0.000
7.297 1.954 0.000
-2.475 0.000 7.452
Rb Er Cu S
2 1 2 4
Cartesian
1.797 0.000 0.407
10.322 0.000 7.046
-1.237 0.000 3.726
3.394 0.000 3.830
8.726 0.000 3.622
1.277 0.000 4.924
5.170 0.000 5.386
6.949 0.000 2.066
10.842 0.000 2.528
```

Top 10 peaks for 2θ from 15° to 90°, sorted by position:
23.66 deg, intensity 40; 23.88 deg, intensity 73; 29.92 deg, intensity 87; 31.74 deg, intensity 46; 32.34 deg, intensity 100; 34.48 deg, intensity 46; 34.59 deg, intensity 91; 42.35 deg, intensity 38; 46.48 deg, intensity 38; 52.52 deg, intensity 49

***

No. 3
Calculated powder diffractogram
Compound: RbErCuS2
Radiation: Cu Kα (λ = 1.5418 Å)
Structure: a cell relaxed with PBE

```
RbErCuS2
1.0
7.695 0.000 0.000
0.000 4.634 0.000
-1.288 0.000 7.694
Rb Er Cu S
2 2 2 4
Cartesian
-0.322 0.764 1.923
-0.966 3.870 5.770
2.881 2.288 5.770
3.525 2.346 1.923
3.847 0.000 0.000
3.203 0.000 3.847
0.917 1.514 7.431
1.561 3.120 3.584
4.845 1.514 4.109
5.490 3.120 0.263
```

Top 10 peaks for 2θ from 15° to 90°, sorted by position:
22.47 deg, intensity 80; 23.44 deg, intensity 98; 26.21 deg, intensity 46; 30.21 deg, intensity 82; 31.00 deg, intensity 100; 33.88 deg, intensity 95; 36.03 deg, intensity 44; 40.69 deg, intensity 78; 40.98 deg, intensity 33; 44.03 deg, intensity 52

***

No. 4
Calculated powder diffractogram
Compound: RbEr2Cu3Se5
Radiation: Cu Kα (λ = 1.5418 Å)
Structure: a cell relaxed with PBE

```
RbEr2Cu3Se5
1.0
2.057 -7.275 0.000
2.057 7.275 0.000
0.000 0.000 17.071
Rb Er Cu Se
2 4 6 10
Cartesian
2.057 6.394 12.803
2.057 -6.394 4.268
2.057 4.479 1.575
2.057 4.479 6.960
2.057 -4.479 10.111
2.057 -4.479 15.496
2.057 2.328 12.803
2.057 1.229 0.493
2.057 1.229 8.043
2.057 -1.229 9.028
2.057 -1.229 16.578
2.057 -2.328 4.268
2.057 4.845 9.750
2.057 4.845 15.856
2.057 3.700 4.268
2.057 0.881 10.523
2.057 0.881 15.083
2.057 -0.881 1.988
2.057 -0.881 6.548
2.057 -3.700 12.803
2.057 -4.845 1.215
2.057 -4.845 7.321
```

Top 10 peaks for 2θ from 15° to 90°, sorted by position:
28.45 deg, intensity 73; 28.93 deg, intensity 100; 30.35 deg, intensity 73; 31.44 deg, intensity 74; 35.51 deg, intensity 75; 37.87 deg, intensity 57; 38.97 deg, intensity 49; 39.37 deg, intensity 40; 44.02 deg, intensity 66; 47.21 deg, intensity 63